Dy2Ho3Mg3: computed powder diffractogram (Cu Ka), based on DFT lattice parameters and positions (GGA-PBE).
Lines closer than 0.1° are merged.

Main lines, sorted by position (2θ = 10–90°):
| Position (°2θ) | I (rel.) |
| --- | --- |
| 20.3 | 14 |
| 24.1 | 19 |
| 25.9 | 28 |
| 32.1 | 23 |
| 33.2 | 27 |
| 33.3 | 100 |
| 46.8 | 16 |
| 56.0 | 16 |
| 58.0 | 13 |
| 59.3 | 20 |

Structure:
```
data_Dy2Ho3Mg3
_chemical_formula_sum 'Dy2 Ho3 Mg3'
_symmetry_space_group_name_H-M 'P 1'
_symmetry_Int_Tables_number 1
_cell_length_a 11.6214
_cell_length_b 11.6214
_cell_length_c 11.6214
_cell_angle_alpha 161.47
_cell_angle_beta 153.11
_cell_angle_gamma 32.86
loop_
_symmetry_equiv_pos_as_xyz
'x,y,z'
loop_
_atom_site_label
_atom_site_type_symbol
_atom_site_fract_x
_atom_site_fract_y
_atom_site_fract_z
Dy1 Dy 0.2348 0.2348 0.0000
Dy2 Dy 0.7652 0.7652 0.0000
Ho1 Ho 0.0000 0.0000 0.0000
Ho2 Ho 0.3748 0.8748 0.5000
Ho3 Ho 0.6252 0.1252 0.5000
Mg1 Mg 0.1162 0.6162 0.5000
Mg2 Mg 0.5000 0.5000 0.0000
Mg3 Mg 0.8838 0.3838 0.5000
```